# 1
Structure and calculated X-ray diffraction stick pattern of Pm2Dy3Er9 (a DFT-relaxed cell (GGA-PBE, Alexandria); CuKα).

Principal peaks in the range 2θ from 10° to 90°, low angle first:
2θ 29.79, I = 24; 2θ 30.91, I = 29; 2θ 31.20, I = 70; 2θ 31.84, I = 100; 2θ 33.53, I = 48; 2θ 34.26, I = 39; 2θ 34.58, I = 23; 2θ 50.52, I = 18; 2θ 52.22, I = 12; 2θ 58.11, I = 13; 2θ 60.09, I = 15; 2θ 61.04, I = 17

Atomic structure:
abc: 3.505 11.138 11.582
angles: 101.20 97.36 91.41
Sites, in units of the cell vectors:
Pm1 0.072 0.378 0.221
Pm2 0.928 0.622 0.779
Dy1 0.429 0.920 0.854
Dy2 0.500 0.500 0.500
Dy3 0.571 0.080 0.146
Er1 0.030 0.793 0.072
Er2 0.186 0.959 0.363
Er3 0.223 0.771 0.559
Er4 0.379 0.323 0.709
Er5 0.500 0.500 0.000
Er6 0.621 0.677 0.291
Er7 0.777 0.229 0.441
Er8 0.814 0.041 0.637
Er9 0.970 0.207 0.928



# 2
Structure and calculated X-ray diffraction stick pattern of LaTb2Pr5Dy (a DFT-relaxed cell (GGA-PBE, Alexandria); CuKα).

Principal peaks in the range 2θ from 10° to 90°, low angle first:
2θ 26.56, I = 58; 2θ 28.11, I = 54; 2θ 29.77, I = 16; 2θ 31.26, I = 100; 2θ 32.34, I = 14; 2θ 34.65, I = 27; 2θ 37.86, I = 21; 2θ 39.66, I = 20; 2θ 40.03, I = 12; 2θ 49.94, I = 18; 2θ 50.91, I = 13; 2θ 58.34, I = 16

Atomic structure:
abc: 9.823 9.823 9.823
angles: 122.22 122.22 86.19
Sites, in units of the cell vectors:
La1 0.250 0.250 0.000
La2 0.750 0.750 0.000
Tb1 0.109 0.609 0.718
Tb2 0.391 0.109 0.500
Tb3 0.609 0.891 0.500
Tb4 0.891 0.391 0.282
Pr1 0.000 0.000 0.000
Pr2 0.071 0.165 0.500
Pr3 0.165 0.665 0.095
Pr4 0.335 0.429 0.500
Pr5 0.429 0.929 0.095
Pr6 0.500 0.500 0.000
Pr7 0.571 0.071 0.905
Pr8 0.665 0.571 0.500
Pr9 0.835 0.335 0.905
Pr10 0.929 0.835 0.500
Dy1 0.250 0.750 0.500
Dy2 0.750 0.250 0.500



# 3
Structure and calculated X-ray diffraction stick pattern of Al2Ag3 (a DFT-relaxed cell (GGA-PBE, Alexandria); CuKα).

Principal peaks in the range 2θ from 10° to 90°, low angle first:
2θ 21.74, I = 44; 2θ 28.26, I = 51; 2θ 32.07, I = 21; 2θ 37.14, I = 50; 2θ 37.53, I = 51; 2θ 39.46, I = 100; 2θ 39.82, I = 72; 2θ 42.20, I = 33; 2θ 46.82, I = 26; 2θ 58.59, I = 17; 2θ 66.67, I = 19; 2θ 72.06, I = 21

Atomic structure:
abc: 7.074 5.778 8.414
angles: 56.17 42.72 81.11
Sites, in units of the cell vectors:
Al1 0.264 0.736 0.334
Al2 0.584 0.916 0.514
Al3 0.736 0.264 0.666
Al4 0.916 0.584 0.986
Ag1 0.143 0.811 0.065
Ag2 0.185 0.269 0.107
Ag3 0.269 0.185 0.439
Ag4 0.475 0.475 0.525
Ag5 0.725 0.725 0.775
Ag6 0.811 0.143 0.981



# 4
Structure and calculated X-ray diffraction stick pattern of Pm7Tl2Pt (a DFT-relaxed cell (GGA-PBE, Alexandria); CuKα).

Principal peaks in the range 2θ from 10° to 90°, low angle first:
2θ 15.82, I = 12; 2θ 22.45, I = 36; 2θ 27.58, I = 66; 2θ 31.96, I = 100; 2θ 39.40, I = 17; 2θ 45.82, I = 74; 2θ 54.32, I = 30; 2θ 56.95, I = 26; 2θ 66.81, I = 12; 2θ 73.73, I = 12; 2θ 75.98, I = 33; 2θ 84.79, I = 25

Atomic structure:
abc: 7.922 7.922 7.922
angles: 60.00 60.00 60.00
Sites, in units of the cell vectors:
Pm1 0.000 0.000 0.000
Pm2 0.255 0.255 0.745
Pm3 0.255 0.745 0.255
Pm4 0.255 0.745 0.745
Pm5 0.745 0.255 0.255
Pm6 0.745 0.255 0.745
Pm7 0.745 0.745 0.255
Tl1 0.250 0.250 0.250
Tl2 0.750 0.750 0.750
Pt1 0.500 0.500 0.500



# 5
Structure and calculated X-ray diffraction stick pattern of Cs4MgTl3Br8 (a DFT-relaxed cell (GGA-PBE, Alexandria); CuKα).

Principal peaks in the range 2θ from 10° to 90°, low angle first:
2θ 10.96, I = 7; 2θ 21.97, I = 10; 2θ 25.45, I = 100; 2θ 36.24, I = 40; 2θ 36.37, I = 37; 2θ 44.80, I = 21; 2θ 52.28, I = 13; 2θ 58.93, I = 19; 2θ 59.12, I = 16; 2θ 65.21, I = 11; 2θ 65.28, I = 9; 2θ 82.57, I = 7

Atomic structure:
abc: 9.879 9.879 9.882
angles: 119.76 119.76 60.23
Sites, in units of the cell vectors:
Cs1 0.000 0.000 0.000
Cs2 0.000 0.500 0.500
Cs3 0.500 0.000 0.500
Cs4 0.500 0.500 0.000
Mg1 0.000 0.000 0.500
Tl1 0.000 0.500 0.000
Tl2 0.500 0.000 0.000
Tl3 0.500 0.500 0.500
Br1 0.233 0.752 0.266
Br2 0.235 0.235 0.749
Br3 0.248 0.767 0.734
Br4 0.258 0.258 0.242
Br5 0.742 0.742 0.758
Br6 0.752 0.233 0.266
Br7 0.765 0.765 0.251
Br8 0.767 0.248 0.734



# 6
Structure and calculated X-ray diffraction stick pattern of LiNpBi2 (a DFT-relaxed cell (GGA-PBE, Alexandria); CuKα).

Principal peaks in the range 2θ from 10° to 90°, low angle first:
2θ 25.48, I = 20; 2θ 26.09, I = 24; 2θ 28.04, I = 12; 2θ 29.33, I = 35; 2θ 32.43, I = 14; 2θ 32.92, I = 100; 2θ 40.07, I = 41; 2θ 47.85, I = 17; 2θ 48.09, I = 15; 2θ 57.96, I = 14; 2θ 64.13, I = 14; 2θ 68.29, I = 26

Atomic structure:
abc: 4.501 4.501 10.487
angles: 90.00 90.00 90.00
Sites, in units of the cell vectors:
Li1 0.250 0.750 0.000
Li2 0.750 0.250 0.000
Np1 0.250 0.250 0.260
Np2 0.750 0.750 0.740
Bi1 0.250 0.250 0.828
Bi2 0.250 0.750 0.500
Bi3 0.750 0.250 0.500
Bi4 0.750 0.750 0.172